This entry pairs a crystal structure of Li4V3Fe2O10 with its computed XRD peak list. Radiation: Cu Kα, 1.54184 Å. Structure: a PBE+U-relaxed structure.
Neutral-atom scattering factors, no anomalous dispersion.

```
data_Li4V3Fe2O10
_chemical_formula_sum 'Li4 V3 Fe2 O10'
_cell_length_a 5.1639
_cell_length_b 5.2060
_cell_length_c 7.9480
_cell_angle_alpha 70.90
_cell_angle_beta 71.61
_cell_angle_gamma 79.03
_space_group_name_H-M_alt 'P 1'
_space_group_IT_number 1
loop_
_space_group_symop_operation_xyz
'x,y,z'
loop_
_atom_site_label
_atom_site_type_symbol
_atom_site_fract_x
_atom_site_fract_y
_atom_site_fract_z
Li1 Li 0.0000 0.0000 0.0000
Li2 Li 0.1040 0.4708 0.2826
Li3 Li 0.3040 0.4705 0.9190
Li4 Li 0.7171 0.4519 0.0859
V1 V 0.1801 0.9648 0.6264
V2 V 0.4909 0.4636 0.5178
V3 V 0.7993 0.9577 0.4068
Fe1 Fe 0.3925 0.9654 0.2014
Fe2 Fe 0.5933 0.9592 0.8292
O1 O 0.0342 0.1877 0.1795
O2 O 0.1708 0.7420 0.4598
O3 O 0.2755 0.2053 0.7436
O4 O 0.3680 0.7242 0.0564
O5 O 0.4222 0.1967 0.3844
O6 O 0.5255 0.7405 0.6544
O7 O 0.6207 0.1860 0.9780
O8 O 0.7253 0.7059 0.2885
O9 O 0.8291 0.1838 0.5631
O10 O 0.9689 0.7628 0.8390
```

Largest 10 diffraction maxima, in order of rising 2θ, 5 to 70 degrees two-theta:
Position (°2θ), I/Imax, (hkl)
12.2, 34, 0 0 1
18.1, 100, 0 1 0
22.3, 19, 1 1 1
26.1, 12, 0 1 2
26.4, 13, 1 0 2
42.0, 42, 1 1 -2
42.5, 42, 1 2 3
43.5, 40, 2 -1 1
61.1, 14, 2 3 1
62.4, 22, 3 1 4